Entry 1:
For Nd4Pd3C5, a cell relaxed with GGA-PBE gives the calculated XRD peak list in this record (λ = 1.5418 Å (Cu Kα)).
Neutral-atom scattering factors, no anomalous dispersion.

```
data_Nd4Pd3C5
_chemical_formula_sum 'Nd4 Pd3 C5'
_space_group_name_H-M_alt 'P -1'
_space_group_IT_number 2
_cell_length_a 3.9813
_cell_length_b 6.3135
_cell_length_c 9.3328
_cell_angle_alpha 75.72
_cell_angle_beta 77.70
_cell_angle_gamma 71.67
loop_
_space_group_symop_operation_xyz
'x,y,z'
'-x,-y,-z'
loop_
_atom_site_label
_atom_site_type_symbol
_atom_site_fract_x
_atom_site_fract_y
_atom_site_fract_z
Nd1 Nd 0.1046 0.2057 0.0863
Nd2 Nd 0.2620 0.2996 0.6746
Pd1 Pd 0.0000 0.0000 0.5000
Pd2 Pd 0.4443 0.2825 0.3281
C1 C 0.2961 0.7907 0.1166
C2 C 0.3899 0.5642 0.1586
C3 C 0.5000 0.0000 0.5000
```

Main lines, by angle (10 to 80 degrees two-theta):
index  d (Å)  two_theta  I/Imax
1 1 0  3.645  24.42  27
0 1 -2  3.268  27.29  37
0 2 0  2.940  30.41  35
0 1 3  2.895  30.88  28
1 -1 0  2.820  31.73  100
1 1 3  2.680  33.43  84
1 1 -2  2.519  35.64  43
1 2 3  2.366  38.03  20
0 2 3  2.331  38.62  26
1 2 -2  2.068  43.78  19
2 1 1  1.991  45.57  32
-1 1 5  1.498  61.93  19

=====

Entry 2:
For Np4Cu3Sb8, a cell relaxed with GGA-PBE gives the calculated XRD peak list in this record (λ = 1.5418 Å (Cu Kα)).
Neutral-atom scattering factors, no anomalous dispersion.

```
data_Np4Cu3Sb8
_chemical_formula_sum 'Np4 Cu3 Sb8'
_space_group_name_H-M_alt 'P -4 m 2'
_space_group_IT_number 115
_cell_length_a 4.3375
_cell_length_b 4.3375
_cell_length_c 18.7130
_cell_angle_alpha 90.00
_cell_angle_beta 90.00
_cell_angle_gamma 90.00
loop_
_space_group_symop_operation_xyz
'x,y,z'
'y,-x,-z'
'-x,-y,z'
'-y,x,-z'
'-x,y,z'
'-y,-x,-z'
'x,-y,z'
'y,x,-z'
loop_
_atom_site_label
_atom_site_type_symbol
_atom_site_fract_x
_atom_site_fract_y
_atom_site_fract_z
Np1 Np 0.0000 0.5000 0.1144
Np2 Np 0.0000 0.5000 0.6272
Cu1 Cu 0.0000 0.0000 0.0000
Cu2 Cu 0.0000 0.0000 0.5000
Cu3 Cu 0.5000 0.5000 0.5000
Sb1 Sb 0.0000 0.0000 0.2417
Sb2 Sb 0.0000 0.5000 0.4143
Sb3 Sb 0.0000 0.5000 0.9234
Sb4 Sb 0.5000 0.5000 0.2419
```

Main lines, by angle (10 to 80 degrees two-theta):
index  d (Å)  two_theta  I/Imax
1 0 2  3.935  22.59  23
1 1 0  3.067  29.12  12
1 1 2  2.914  30.68  14
1 1 4  2.565  34.98  100
1 0 6  2.532  35.45  25
2 0 0  2.169  41.64  42
1 0 10  1.718  53.32  15
2 1 6  1.647  55.81  14
2 0 8  1.590  57.99  11
2 2 0  1.534  60.36  14
2 1 10  1.347  69.84  13
3 1 4  1.316  71.70  25

=====

Entry 3:
For Pm4Bi5O, a cell relaxed with GGA-PBE gives the calculated XRD peak list in this record (λ = 1.5418 Å (Cu Kα)).
Neutral-atom scattering factors, no anomalous dispersion.

```
data_Pm4Bi5O
_chemical_formula_sum 'Pm8 Bi10 O2'
_space_group_name_H-M_alt 'C 1 2/m 1'
_space_group_IT_number 12
_cell_length_a 18.4214
_cell_length_b 3.6253
_cell_length_c 9.0913
_cell_angle_alpha 90.00
_cell_angle_beta 91.45
_cell_angle_gamma 90.00
loop_
_space_group_symop_operation_xyz
'x,y,z'
'-x,-y,-z'
'-x,y,-z'
'x,-y,z'
'x+1/2,y+1/2,z'
'-x+1/2,-y+1/2,-z'
'-x+1/2,y+1/2,-z'
'x+1/2,-y+1/2,z'
loop_
_atom_site_label
_atom_site_type_symbol
_atom_site_fract_x
_atom_site_fract_y
_atom_site_fract_z
Pm1 Pm 0.0151 0.0000 0.3170
Pm2 Pm 0.1502 0.5000 0.5685
Bi1 Bi 0.0000 0.5000 0.0000
Bi2 Bi 0.1434 0.0000 0.8831
Bi3 Bi 0.1881 0.0000 0.2766
O1 O 0.0000 0.5000 0.5000
```

Main lines, by angle (10 to 80 degrees two-theta):
index  d (Å)  two_theta  I/Imax
2 0 2  4.035  22.03  23
6 0 0  3.069  29.09  59
3 1 -1  2.964  30.15  60
3 1 1  2.941  30.40  25
2 0 3  2.856  31.32  50
1 1 -2  2.808  31.87  100
4 0 -3  2.560  35.05  49
5 1 2  2.229  40.47  56
7 1 -1  2.083  43.45  19
0 2 0  1.812  50.35  26
1 1 5  1.615  57.01  26
5 1 -5  1.500  61.87  19

=====

Entry 4:
For Na2Ni3H12Rh, a cell relaxed with GGA-PBE gives the calculated XRD peak list in this record (λ = 1.5418 Å (Cu Kα)).
Neutral-atom scattering factors, no anomalous dispersion.

```
data_Na2Ni3H12Rh
_chemical_formula_sum 'Na6 Ni9 H36 Rh3'
_space_group_name_H-M_alt 'R -3 m'
_space_group_IT_number 166
_space_group_name_Hall '-R 3 2"'
_cell_length_a 5.7632
_cell_length_b 5.7632
_cell_length_c 14.5557
_cell_angle_alpha 90.00
_cell_angle_beta 90.00
_cell_angle_gamma 120.00
loop_
_atom_site_label
_atom_site_type_symbol
_atom_site_fract_x
_atom_site_fract_y
_atom_site_fract_z
Na1 Na 0.0000 0.0000 0.1198
Ni1 Ni 0.0000 0.5000 0.0000
H1 H 0.0305 0.5152 0.1114
H2 H 0.0451 0.5226 0.3555
Rh1 Rh 0.0000 0.0000 0.5000
```

Main lines, by angle (10 to 80 degrees two-theta):
index  d (Å)  two_theta  I/Imax
1 0 1  4.721  18.80  100
0 1 5  2.515  35.71  45
1 1 3  2.478  36.26  80
0 2 1  2.460  36.53  15
0 0 6  2.426  37.06  26
2 0 2  2.361  38.12  78
0 2 4  2.058  44.00  32
1 2 5  1.583  58.28  20
3 0 3  1.574  58.66  19
2 0 8  1.470  63.25  22
2 2 0  1.441  64.70  21
2 2 6  1.239  76.97  17

=====

Entry 5:
For Y2Cu2Ge, a cell relaxed with GGA-PBE gives the calculated XRD peak list in this record (λ = 1.5418 Å (Cu Kα)).
Neutral-atom scattering factors, no anomalous dispersion.

```
data_Y2Cu2Ge
_chemical_formula_sum 'Y4 Cu4 Ge2'
_space_group_name_H-M_alt 'P 4/m b m'
_space_group_IT_number 127
_space_group_name_Hall '-P 4 2ab'
_cell_length_a 7.0016
_cell_length_b 7.0016
_cell_length_c 4.0782
_cell_angle_alpha 90.00
_cell_angle_beta 90.00
_cell_angle_gamma 90.00
loop_
_atom_site_label
_atom_site_type_symbol
_atom_site_fract_x
_atom_site_fract_y
_atom_site_fract_z
Y1 Y 0.1786 0.3214 0.0000
Cu1 Cu 0.1233 0.6233 0.5000
Ge1 Ge 0.0000 0.0000 0.5000
```

Main lines, by angle (10 to 80 degrees two-theta):
index  d (Å)  two_theta  I/Imax
2 0 1  2.656  33.74  44
2 1 1  2.484  36.17  100
2 2 0  2.475  36.29  10
3 1 0  2.214  40.75  34
0 0 2  2.039  44.43  21
3 2 0  1.942  46.78  8
4 1 0  1.698  54.00  8
4 1 1  1.567  58.93  13
3 1 2  1.500  61.86  19
5 1 1  1.301  72.65  11
2 1 3  1.247  76.37  10
4 4 0  1.238  76.99  9

=====

Entry 6:
For MnNi3P12, a cell relaxed with GGA-PBE gives the calculated XRD peak list in this record (λ = 1.5418 Å (Cu Kα)).
Neutral-atom scattering factors, no anomalous dispersion.

```
data_MnNi3P12
_chemical_formula_sum 'Mn6 Ni18 P72'
_space_group_name_H-M_alt 'R 3 c'
_space_group_IT_number 161
_space_group_name_Hall 'R 3 -2"c'
_cell_length_a 12.3674
_cell_length_b 12.3674
_cell_length_c 12.4748
_cell_angle_alpha 90.00
_cell_angle_beta 90.00
_cell_angle_gamma 120.00
loop_
_atom_site_label
_atom_site_type_symbol
_atom_site_fract_x
_atom_site_fract_y
_atom_site_fract_z
Mn1 Mn 0.0000 0.0000 0.0000
Ni1 Ni 0.0536 0.3641 0.1403
P1 P 0.0064 0.1905 0.0422
P2 P 0.0328 0.4600 0.3001
P3 P 0.0736 0.1838 0.4007
P4 P 0.1487 0.4687 0.4373
```

Main lines, by angle (10 to 80 degrees two-theta):
index  d (Å)  two_theta  I/Imax
0 1 2  5.390  16.45  100
3 0 0  3.570  24.94  45
1 1 3  3.451  25.82  99
0 2 4  2.695  33.24  23
3 1 2  2.682  33.41  91
2 2 3  2.481  36.20  46
4 1 3  2.037  44.47  45
4 0 4  2.032  44.60  31
5 1 1  1.901  47.84  23
0 3 6  1.797  50.82  39
0 5 4  1.766  51.78  36
3 4 2  1.695  54.12  27

=====

Entry 7:
For Zn2Cu7Pt, a cell relaxed with GGA-PBE gives the calculated XRD peak list in this record (λ = 1.5418 Å (Cu Kα)).
Neutral-atom scattering factors, no anomalous dispersion.

```
data_Zn2Cu7Pt
_chemical_formula_sum 'Zn4 Cu14 Pt2'
_space_group_name_H-M_alt 'C m m m'
_space_group_IT_number 65
_space_group_name_Hall '-C 2 2'
_cell_length_a 6.6666
_cell_length_b 12.8845
_cell_length_c 3.8282
_cell_angle_alpha 90.00
_cell_angle_beta 90.00
_cell_angle_gamma 90.00
loop_
_atom_site_label
_atom_site_type_symbol
_atom_site_fract_x
_atom_site_fract_y
_atom_site_fract_z
Zn1 Zn 0.0000 0.1946 0.0000
Cu1 Cu 0.0000 0.0000 0.0000
Cu2 Cu 0.0000 0.3075 0.5000
Cu3 Cu 0.1838 0.3981 0.0000
Pt1 Pt 0.0000 0.5000 0.5000
```

Main lines, by angle (10 to 80 degrees two-theta):
index  d (Å)  two_theta  I/Imax
1 1 0  5.921  14.96  82
2 0 0  3.333  26.74  30
1 1 1  3.215  27.75  63
2 0 1  2.514  35.72  21
0 4 1  2.465  36.45  25
2 4 0  2.316  38.88  37
1 5 1  2.036  44.51  100
0 0 2  1.914  47.50  33
3 1 1  1.901  47.85  62
2 6 0  1.805  50.56  25
2 4 2  1.475  63.00  17
2 6 2  1.313  71.88  18

=====

Entry 8:
For MnFeW, a cell relaxed with GGA-PBE gives the calculated XRD peak list in this record (λ = 1.5418 Å (Cu Kα)).
Neutral-atom scattering factors, no anomalous dispersion.

```
data_MnFeW
_chemical_formula_sum 'Mn18 Fe18 W18'
_space_group_name_H-M_alt 'R -3 m'
_space_group_IT_number 166
_space_group_name_Hall '-R 3 2"'
_cell_length_a 4.7155
_cell_length_b 4.7155
_cell_length_c 34.7025
_cell_angle_alpha 90.00
_cell_angle_beta 90.00
_cell_angle_gamma 120.00
loop_
_atom_site_label
_atom_site_type_symbol
_atom_site_fract_x
_atom_site_fract_y
_atom_site_fract_z
Mn1 Mn 0.0000 0.0000 0.0000
Mn2 Mn 0.0000 0.0000 0.1099
Mn3 Mn 0.0000 0.5000 0.5000
Fe1 Fe 0.0109 0.5054 0.2781
W1 W 0.0000 0.0000 0.2368
W2 W 0.0000 0.0000 0.3181
W3 W 0.0000 0.0000 0.4591
```

Main lines, by angle (10 to 80 degrees two-theta):
index  d (Å)  two_theta  I/Imax
1 0 1  4.056  21.91  20
1 0 4  3.695  24.09  17
1 1 0  2.358  38.17  83
1 0 13  2.234  40.37  64
0 1 14  2.119  42.67  55
1 1 9  2.012  45.07  100
0 2 4  1.988  45.64  32
2 0 5  1.959  46.35  22
3 0 0  1.361  68.99  15
2 1 13  1.336  70.47  23
1 2 14  1.310  72.08  22
3 0 9  1.284  73.82  22

=====

Entry 9:
For Cd2Ga3Ag7, a cell relaxed with GGA-PBE gives the calculated XRD peak list in this record (λ = 1.5418 Å (Cu Kα)).
Neutral-atom scattering factors, no anomalous dispersion.

```
data_Cd2Ga3Ag7
_chemical_formula_sum 'Cd2 Ga3 Ag7'
_space_group_name_H-M_alt 'P 1 2/m 1'
_space_group_IT_number 10
_cell_length_a 4.8317
_cell_length_b 2.9035
_cell_length_c 16.5370
_cell_angle_alpha 90.00
_cell_angle_beta 90.51
_cell_angle_gamma 90.00
loop_
_space_group_symop_operation_xyz
'x,y,z'
'-x,-y,-z'
'-x,y,-z'
'x,-y,z'
loop_
_atom_site_label
_atom_site_type_symbol
_atom_site_fract_x
_atom_site_fract_y
_atom_site_fract_z
Cd1 Cd 0.1272 0.0000 0.2145
Ga1 Ga 0.0000 0.0000 0.5000
Ga2 Ga 0.2913 0.5000 0.8885
Ag1 Ag 0.1197 0.5000 0.3651
Ag2 Ag 0.2466 0.0000 0.0462
Ag3 Ag 0.3808 0.0000 0.6703
Ag4 Ag 0.5000 0.5000 0.5000
```

Main lines, by angle (10 to 80 degrees two-theta):
index  d (Å)  two_theta  I/Imax
1 0 -5  2.740  32.68  38
2 0 1  2.387  37.68  59
1 0 6  2.385  37.72  100
0 1 4  2.376  37.87  18
0 0 7  2.362  38.09  26
1 1 -3  2.272  39.67  20
1 1 3  2.264  39.81  35
1 1 4  2.128  42.48  18
1 1 5  1.984  45.73  15
0 1 8  1.684  54.50  14
0 2 0  1.452  64.14  16
2 2 1  1.240  76.88  27

=====

Entry 10:
For CoRuPb2, a cell relaxed with GGA-PBE gives the calculated XRD peak list in this record (λ = 1.5418 Å (Cu Kα)).
Neutral-atom scattering factors, no anomalous dispersion.

```
data_CoRuPb2
_chemical_formula_sum 'Co1 Ru1 Pb2'
_space_group_name_H-M_alt 'P 1 2/m 1'
_space_group_IT_number 10
_cell_length_a 3.3252
_cell_length_b 3.3265
_cell_length_c 6.6335
_cell_angle_alpha 90.00
_cell_angle_beta 90.37
_cell_angle_gamma 90.00
loop_
_space_group_symop_operation_xyz
'x,y,z'
'-x,-y,-z'
'-x,y,-z'
'x,-y,z'
loop_
_atom_site_label
_atom_site_type_symbol
_atom_site_fract_x
_atom_site_fract_y
_atom_site_fract_z
Co1 Co 0.0000 0.0000 0.0000
Ru1 Ru 0.0000 0.0000 0.5000
Pb1 Pb 0.4984 0.5000 0.2451
```

Main lines, by angle (10 to 80 degrees two-theta):
index  d (Å)  two_theta  I/Imax
1 0 0  3.323  26.83  44
1 1 0  2.353  38.25  100
0 1 2  2.349  38.32  66
1 0 2  2.341  38.46  33
2 0 0  1.663  55.24  23
0 0 4  1.658  55.40  11
2 1 0  1.487  62.44  11
2 1 -2  1.359  69.10  24
1 1 -4  1.358  69.17  12
1 2 2  1.356  69.31  12
2 1 2  1.354  69.41  12
1 1 4  1.352  69.51  12

=====

Entry 11:
For Er4Hg5Pt2, a cell relaxed with GGA-PBE gives the calculated XRD peak list in this record (λ = 1.5418 Å (Cu Kα)).
Neutral-atom scattering factors, no anomalous dispersion.

```
data_Er4Hg5Pt2
_chemical_formula_sum 'Er4 Hg5 Pt2'
_space_group_name_H-M_alt 'P 1 2/m 1'
_space_group_IT_number 10
_cell_length_a 7.6456
_cell_length_b 3.5623
_cell_length_c 9.6663
_cell_angle_alpha 90.00
_cell_angle_beta 94.19
_cell_angle_gamma 90.00
loop_
_space_group_symop_operation_xyz
'x,y,z'
'-x,-y,-z'
'-x,y,-z'
'x,-y,z'
loop_
_atom_site_label
_atom_site_type_symbol
_atom_site_fract_x
_atom_site_fract_y
_atom_site_fract_z
Er1 Er 0.1789 0.0000 0.3530
Er2 Er 0.2218 0.0000 0.9396
Hg1 Hg 0.1696 0.5000 0.6392
Hg2 Hg 0.4615 0.5000 0.1707
Hg3 Hg 0.5000 0.5000 0.5000
Pt1 Pt 0.0752 0.5000 0.1390
```

Main lines, by angle (10 to 80 degrees two-theta):
index  d (Å)  two_theta  I/Imax
0 1 0  3.562  25.00  39
1 0 3  2.887  30.98  40
1 1 -2  2.721  32.92  79
1 1 2  2.644  33.90  100
2 1 0  2.603  34.46  79
2 0 -3  2.551  35.18  51
3 0 0  2.542  35.31  56
0 1 3  2.386  37.70  56
2 0 3  2.373  37.91  40
2 1 -2  2.340  38.48  48
0 2 0  1.781  51.29  46
3 2 0  1.459  63.77  39

=====

Entry 12:
For Ac3Be2As4Se2, a cell relaxed with GGA-PBE gives the calculated XRD peak list in this record (λ = 1.5418 Å (Cu Kα)).
Neutral-atom scattering factors, no anomalous dispersion.

```
data_Ac3Be2As4Se2
_chemical_formula_sum 'Ac6 Be4 As8 Se4'
_space_group_name_H-M_alt 'I 4/m m m'
_space_group_IT_number 139
_space_group_name_Hall '-I 4 2'
_cell_length_a 4.5559
_cell_length_b 4.5559
_cell_length_c 26.4129
_cell_angle_alpha 90.00
_cell_angle_beta 90.00
_cell_angle_gamma 90.00
loop_
_atom_site_label
_atom_site_type_symbol
_atom_site_fract_x
_atom_site_fract_y
_atom_site_fract_z
Ac1 Ac 0.0000 0.0000 0.0000
Ac2 Ac 0.0000 0.0000 0.1717
Be1 Be 0.0000 0.0000 0.3814
As1 As 0.0000 0.5000 0.0862
Se1 Se 0.0000 0.0000 0.2958
```

Main lines, by angle (10 to 80 degrees two-theta):
index  d (Å)  two_theta  I/Imax
1 0 1  4.490  19.77  56
1 0 5  3.450  25.82  26
1 1 0  3.222  27.69  25
1 1 2  3.130  28.52  16
1 0 7  2.906  30.77  33
1 1 6  2.600  34.50  100
2 0 0  2.278  39.56  46
1 0 11  2.124  42.56  18
2 1 1  2.031  44.61  15
2 1 7  1.793  50.94  17
2 2 0  1.611  57.19  16
3 1 6  1.369  68.53  28

=====

Question: Number 4 is which compound?
Answer: Na2Ni3H12Rh